Simulated X-ray diffraction stick pattern
Compound: Ga2Ag5Au
Radiation: Cu Kα, 1.54184 Å
Structure: a structure optimized by DFT (GGA-PBE)

Structure:
```
Ga2Ag5Au
1.0
-1.450 4.549 5.339
1.450 -4.549 5.339
1.450 4.549 -5.339
Ga Ag Au
2 5 1
direct
0.240 0.240 0.000
0.760 0.760 0.000
0.134 0.868 0.266
0.397 0.132 0.266
0.500 0.500 0.000
0.603 0.868 0.734
0.866 0.132 0.734
0.000 0.500 0.500
```

Peak list (10 most intense, 15° ≤ 2θ ≤ 90°, sorted by position)
- 25.73°, intensity 15.2
- 36.62°, intensity 15.7
- 37.74°, intensity 100.0
- 39.12°, intensity 98.8
- 39.62°, intensity 46.1
- 40.10°, intensity 55.9
- 57.65°, intensity 34.5
- 70.60°, intensity 23.4
- 73.11°, intensity 21.8
- 77.85°, intensity 25.0

---

Simulated X-ray diffraction stick pattern
Compound: Ac3Cd7Rh4
Radiation: Cu Kα, 1.54184 Å
Structure: a structure optimized by DFT (GGA-PBE)

Structure:
```
Ac3Cd7Rh4
1.0
8.452 -2.163 0.000
8.452 2.163 0.000
-6.262 0.000 9.013
Ac Cd Rh
3 7 4
direct
0.000 0.000 0.000
0.301 0.301 0.285
0.699 0.699 0.715
0.000 0.000 0.500
0.168 0.168 0.430
0.323 0.323 0.995
0.482 0.482 0.704
0.518 0.518 0.296
0.677 0.677 0.005
0.832 0.832 0.570
0.108 0.108 0.804
0.335 0.335 0.747
0.665 0.665 0.253
0.892 0.892 0.196
```

Peak list (10 most intense, 15° ≤ 2θ ≤ 90°, sorted by position)
- 28.24°, intensity 31.6
- 31.78°, intensity 76.4
- 32.13°, intensity 50.9
- 32.76°, intensity 47.7
- 33.50°, intensity 56.8
- 33.68°, intensity 100.0
- 38.92°, intensity 30.9
- 39.02°, intensity 29.4
- 40.02°, intensity 37.1
- 41.75°, intensity 56.4